Calculated powder diffraction line list
Compound: NbVO5
Radiation: CuKα
Structure: a PBE+U-relaxed structure
Kinematic intensities with the Lorentz-polarization factor, no thermal factor.

Top 10 peaks for 2θ = 10–80°, low angle first:
| d [Å] | 2θ/deg | I_rel | hkl |
| --- | --- | --- | --- |
| 4.866 | 18.23 | 16 | 1 1 0 |
| 3.588 | 24.82 | 77 | 1 0 1 |
| 3.441 | 25.90 | 100 | 2 0 0 |
| 3.181 | 28.05 | 42 | 1 1 1 |
| 2.433 | 36.95 | 15 | 2 2 0 |
| 2.013 | 45.03 | 28 | 3 0 1 |
| 1.931 | 47.06 | 38 | 1 1 2 |
| 1.737 | 52.70 | 17 | 3 2 1 |
| 1.720 | 53.25 | 19 | 4 0 0 |
| 1.512 | 61.31 | 29 | 3 1 2 |

Crystal structure
```
data_NbVO5
_chemical_formula_sum 'Nb2 V2 O10'
_cell_length_a 6.881
_cell_length_b 6.881
_cell_length_c 4.205
_cell_angle_alpha 90.00
_cell_angle_beta 90.00
_cell_angle_gamma 90.00
_symmetry_space_group_name_H-M 'P 4/n'
_symmetry_Int_Tables_number 85
loop_
_symmetry_equiv_pos_as_xyz
'x,y,z'
'-x,-y,-z'
'-y+1/2,x,z'
'y+1/2,-x,-z'
'-x+1/2,-y+1/2,z'
'x+1/2,y+1/2,-z'
'y,-x+1/2,z'
'-y,x+1/2,-z'
loop_
_atom_site_label
_atom_site_type_symbol
_atom_site_fract_x
_atom_site_fract_y
_atom_site_fract_z
Nb1 Nb 0.250 0.250 0.198
V1 V 0.250 0.750 0.500
O1 O 0.040 0.752 0.731
O2 O 0.250 0.250 0.772
```